Dy4ErCd3: computed X-ray diffraction stick pattern (λ = 1.5418 Å (Cu Kα)), based on a crystal structure in Alexandria, relaxed with GGA-PBE.
Lines closer than 0.1° are merged.

Largest 10 diffraction maxima, low angle first, 2θ from 10° to 90°:
| two_theta | Rel. int. |
| --- | --- |
| 30.3 | 9 |
| 33.0 | 93 |
| 33.6 | 100 |
| 47.8 | 33 |
| 58.5 | 12 |
| 59.8 | 33 |
| 60.2 | 19 |
| 70.7 | 12 |
| 79.2 | 10 |
| 80.3 | 14 |

a b c (Å): 9.462 9.462 9.462
angles (deg): 32.71 32.71 32.71
Atoms (fractional coordinates):
Dy (0.115, 0.115, 0.115)
Dy (0.371, 0.371, 0.371)
Dy (0.629, 0.629, 0.629)
Dy (0.885, 0.885, 0.885)
Er (0.500, 0.500, 0.500)
Cd (0.000, 0.000, 0.000)
Cd (0.240, 0.240, 0.240)
Cd (0.760, 0.760, 0.760)